No. 1
RbAuBr3: calculated powder diffractogram (copper Kα), based on a crystal structure in the Materials Project, relaxed with GGA-PBE.
Lines closer than 0.1° are merged.

Peak list (10 most intense, 2θ from 10° to 90°, sorted by position)
Position (°2θ)	d/Å	intensity
15.44	5.738	44
15.94	5.560	81
20.62	4.307	77
21.38	4.155	20
23.79	3.740	55
31.17	2.869	42
32.20	2.780	100
35.00	2.564	32
48.06	1.893	18
48.70	1.870	52

```
RbAuBr3
1.0
6.483 -3.741 0.000
6.483 3.741 0.000
-3.956 0.000 7.524
Rb Au Br
2 2 6
Direct
0.226 0.226 0.230 Rb
0.774 0.774 0.770 Rb
0.000 0.000 0.500 Au
0.500 0.500 0.000 Au
0.213 0.213 0.635 Br
0.227 0.699 0.177 Br
0.301 0.773 0.823 Br
0.699 0.227 0.177 Br
0.773 0.301 0.823 Br
0.787 0.787 0.365 Br
```

No. 2
YGaPd2: calculated powder diffractogram (copper Kα), based on a crystal structure in the Materials Project, relaxed with GGA-PBE.
Lines closer than 0.1° are merged.

Peak list (10 most intense, 2θ from 10° to 90°, sorted by position)
Position (°2θ)	d/Å	intensity
31.49	2.841	37
31.93	2.803	38
34.13	2.627	49
34.79	2.579	90
36.41	2.467	100
38.41	2.344	75
39.88	2.261	85
42.64	2.121	69
42.82	2.112	74
63.46	1.466	42

```
YGaPd2
1.0
7.408 0.000 0.000
0.000 7.185 0.000
0.000 0.000 5.619
Y Ga Pd
4 4 8
Direct
0.032 0.250 0.144 Y
0.468 0.750 0.644 Y
0.532 0.250 0.356 Y
0.968 0.750 0.856 Y
0.114 0.750 0.356 Ga
0.386 0.250 0.856 Ga
0.614 0.750 0.144 Ga
0.886 0.250 0.644 Ga
0.183 0.051 0.590 Pd
0.183 0.449 0.590 Pd
0.317 0.551 0.090 Pd
0.317 0.949 0.090 Pd
0.683 0.051 0.910 Pd
0.683 0.449 0.910 Pd
0.817 0.551 0.410 Pd
0.817 0.949 0.410 Pd
```

No. 3
Rb3SbBr6: calculated powder diffractogram (copper Kα), based on a crystal structure in the Materials Project, relaxed with GGA-PBE.
Lines closer than 0.1° are merged.

Peak list (10 most intense, 2θ from 10° to 90°, sorted by position)
Position (°2θ)	d/Å	intensity
14.59	6.072	31
20.69	4.293	33
25.41	3.506	53
29.42	3.036	100
32.99	2.715	14
42.09	2.147	71
49.81	1.831	20
52.19	1.753	24
69.20	1.358	28
76.93	1.239	20

```
Rb3SbBr6
1.0
0.000 6.072 6.072
6.072 0.000 6.072
6.072 6.072 0.000
Rb Sb Br
3 1 6
Direct
0.000 0.000 0.000 Rb
0.250 0.250 0.250 Rb
0.750 0.750 0.750 Rb
0.500 0.500 0.500 Sb
0.268 0.268 0.732 Br
0.268 0.732 0.268 Br
0.268 0.732 0.732 Br
0.732 0.268 0.268 Br
0.732 0.268 0.732 Br
0.732 0.732 0.268 Br
```

No. 4
CsKMg6O7: calculated powder diffractogram (copper Kα), based on a crystal structure in the Materials Project, relaxed with GGA-PBE.
Lines closer than 0.1° are merged.

Peak list (10 most intense, 2θ from 10° to 90°, sorted by position)
Position (°2θ)	d/Å	intensity
11.00	8.046	34
17.77	4.992	31
20.94	4.242	32
27.59	3.233	16
28.49	3.133	31
33.78	2.653	39
35.98	2.496	100
38.09	2.363	22
51.80	1.765	32
53.40	1.716	16

```
CsKMg6O7
1.0
4.992 0.000 0.000
0.000 4.992 0.000
0.000 0.000 8.046
Cs K Mg O
1 1 6 7
Direct
0.000 0.000 0.000 Cs
0.000 0.000 0.591 K
0.000 0.500 0.329 Mg
0.000 0.500 0.829 Mg
0.500 0.000 0.329 Mg
0.500 0.000 0.829 Mg
0.500 0.500 0.088 Mg
0.500 0.500 0.581 Mg
0.000 0.000 0.307 O
0.000 0.500 0.077 O
0.000 0.500 0.591 O
0.500 0.000 0.077 O
0.500 0.000 0.591 O
0.500 0.500 0.334 O
0.500 0.500 0.835 O
```

No. 5
Ni2Mo: calculated powder diffractogram (copper Kα), based on a crystal structure in the Materials Project, relaxed with GGA-PBE.
Lines closer than 0.1° are merged.

Peak list (10 most intense, 2θ from 10° to 90°, sorted by position)
Position (°2θ)	d/Å	intensity
42.08	2.147	100
42.93	2.107	94
49.29	1.849	62
49.88	1.828	30
71.07	1.326	10
72.75	1.300	36
86.75	1.123	23
88.23	1.107	11
88.46	1.105	22
88.80	1.102	11

```
Ni2Mo
1.0
-1.326 1.828 3.867
1.326 -1.828 3.867
1.326 1.828 -3.867
Ni Mo
2 1
Direct
0.169 0.169 0.000 Ni
0.831 0.831 0.000 Ni
0.500 0.500 0.000 Mo
```

No. 6
Na2LiInCl6: calculated powder diffractogram (copper Kα), based on a crystal structure in the Materials Project, relaxed with GGA-PBE.
Lines closer than 0.1° are merged.

Peak list (10 most intense, 2θ from 10° to 90°, sorted by position)
Position (°2θ)	d/Å	intensity
15.20	5.827	90
17.57	5.047	90
24.95	3.568	32
29.35	3.043	57
30.69	2.914	29
35.58	2.523	100
38.89	2.316	26
39.95	2.257	40
51.20	1.784	64
86.18	1.128	27

```
Na2LiInCl6
1.0
0.000 5.047 5.047
5.047 0.000 5.047
5.047 5.047 0.000
Na Li In Cl
2 1 1 6
Direct
0.250 0.250 0.250 Na
0.750 0.750 0.750 Na
0.000 0.000 0.000 Li
0.500 0.500 0.500 In
0.250 0.250 0.750 Cl
0.250 0.750 0.250 Cl
0.250 0.750 0.750 Cl
0.750 0.250 0.250 Cl
0.750 0.250 0.750 Cl
0.750 0.750 0.250 Cl
```